(1)
This entry pairs a crystal structure of Zn2Ga2Ag5 with its simulated powder X-ray diffraction pattern. Radiation: Cu Ka. Structure: a structure optimized by DFT (PBE).
Neutral-atom scattering factors, no anomalous dispersion.

Cell and atoms:
Cell: 4.8563 5.0289 6.7590 Å, 82.25 74.33 75.60°
Space group P-1 (No. 2)
Inequivalent atoms, fractional coordinates:
Zn 0.1151 0.2340 0.0639 x2
Ga 0.2312 0.4430 0.6049 x2
Ag 0.0000 0.0000 0.5000 x1
Ag 0.3155 0.6744 0.1604 x2
Ag 0.4276 0.8998 0.7337 x2

Largest 12 diffraction maxima, by angle, 15° ≤ 2θ ≤ 90°:
| Position (°2θ) | I/Imax | h k l |
| --- | --- | --- |
| 37.78 | 100 | 1 0 -2 |
| 38.23 | 97 | 2 1 1 |
| 38.34 | 96 | 1 -1 2 |
| 38.62 | 94 | 0 2 1 |
| 42.42 | 74 | 1 1 3 |
| 43.10 | 69 | 1 2 -1 |
| 47.70 | 49 | 2 -1 0 |
| 61.56 | 22 | 0 1 -4 |
| 62.58 | 21 | 2 3 2 |
| 65.59 | 35 | 3 1 -1 |
| 65.83 | 17 | 3 0 3 |
| 82.83 | 18 | 0 4 2 |

(2)
This entry pairs a crystal structure of Zn6Ga5Ag with its simulated powder X-ray diffraction pattern. Radiation: Cu Ka. Structure: a structure optimized by DFT (PBE).
Neutral-atom scattering factors, no anomalous dispersion.

Cell and atoms:
Cell: 5.0946 14.8646 5.4658 Å, 90.00 94.98 90.00°
Space group C2/m (No. 12)
Inequivalent atoms, fractional coordinates:
Zn 0.0013 0.0000 0.2487 x4
Zn 0.0006 0.3343 0.7493 x8
Ga 0.0000 0.1683 0.0000 x4
Ga 0.0000 0.1689 0.5000 x4
Ga 0.0000 0.5000 0.5000 x2
Ag 0.0000 0.5000 0.0000 x2

Largest 12 diffraction maxima, by angle, 15° ≤ 2θ ≤ 90°:
| Position (°2θ) | I/Imax | h k l |
| --- | --- | --- |
| 35.37 | 73 | 2 0 0 |
| 36.26 | 68 | 0 6 0 |
| 40.53 | 100 | 1 3 -2 |
| 43.10 | 84 | 1 3 2 |
| 51.56 | 48 | 2 6 0 |
| 65.12 | 23 | 3 3 -2 |
| 68.12 | 20 | 1 9 -2 |
| 69.95 | 18 | 1 9 2 |
| 70.66 | 18 | 3 3 2 |
| 80.51 | 12 | 0 6 4 |
| 86.10 | 10 | 4 6 0 |
| 87.68 | 20 | 2 6 -4 |

(3)
This entry pairs a crystal structure of Gd3Ag with its simulated powder X-ray diffraction pattern. Radiation: Cu Ka. Structure: a structure optimized by DFT (PBE).
Neutral-atom scattering factors, no anomalous dispersion.

Cell and atoms:
Cell: 4.6638 4.6638 10.3853 Å, 90.00 90.00 90.00°
Space group I4/mmm (No. 139)
Inequivalent atoms, fractional coordinates:
Gd 0.0000 0.0000 0.0000 x2
Gd 0.0000 0.5000 0.2500 x4
Ag 0.0000 0.0000 0.5000 x2

Largest 12 diffraction maxima, by angle, 15° ≤ 2θ ≤ 90°:
| Position (°2θ) | I/Imax | h k l |
| --- | --- | --- |
| 32.15 | 100 | 1 1 2 |
| 34.55 | 21 | 0 0 4 |
| 38.61 | 30 | 2 0 0 |
| 52.77 | 24 | 2 0 4 |
| 55.75 | 10 | 2 2 0 |
| 60.40 | 16 | 1 1 6 |
| 65.83 | 25 | 3 1 2 |
| 67.26 | 12 | 2 2 4 |
| 72.86 | 2 | 0 0 8 |
| 82.78 | 3 | 4 0 0 |
| 85.64 | 6 | 2 0 8 |
| 86.75 | 12 | 3 1 6 |

(4)
This entry pairs a crystal structure of GdLuAgGe with its simulated powder X-ray diffraction pattern. Radiation: Cu Ka. Structure: a structure optimized by DFT (PBE).
Neutral-atom scattering factors, no anomalous dispersion.

Cell and atoms:
Cell: 7.1460 7.1460 7.1460 Å, 90.00 90.00 90.00°
Space group F-43m (No. 216)
Inequivalent atoms, fractional coordinates:
Gd 0.0000 0.0000 0.0000 x4
Lu 0.0000 0.0000 0.5000 x4
Ag 0.2500 0.2500 0.7500 x4
Ge 0.2500 0.2500 0.2500 x4

Largest 11 diffraction maxima, by angle, 15° ≤ 2θ ≤ 90°:
| Position (°2θ) | I/Imax | h k l |
| --- | --- | --- |
| 21.54 | 2 | 1 1 1 |
| 24.92 | 9 | 2 0 0 |
| 35.53 | 100 | 2 2 0 |
| 41.93 | 1 | 3 1 1 |
| 43.89 | 3 | 2 2 2 |
| 51.13 | 18 | 4 0 0 |
| 57.69 | 4 | 4 2 0 |
| 63.81 | 36 | 4 2 2 |
| 75.22 | 11 | 4 4 0 |
| 80.67 | 2 | 6 0 0 |
| 86.05 | 16 | 6 2 0 |

(5)
This entry pairs a crystal structure of SrGdAgHg with its simulated powder X-ray diffraction pattern. Radiation: Cu Ka. Structure: a structure optimized by DFT (PBE).
Neutral-atom scattering factors, no anomalous dispersion.

Cell and atoms:
Cell: 7.6518 7.6518 7.6518 Å, 90.00 90.00 90.00°
Space group F-43m (No. 216)
Inequivalent atoms, fractional coordinates:
Sr 0.0000 0.0000 0.0000 x4
Gd 0.0000 0.0000 0.5000 x4
Ag 0.2500 0.2500 0.2500 x4
Hg 0.2500 0.2500 0.7500 x4

Largest 12 diffraction maxima, by angle, 15° ≤ 2θ ≤ 90°:
| Position (°2θ) | I/Imax | h k l |
| --- | --- | --- |
| 20.10 | 8 | 1 1 1 |
| 23.25 | 2 | 2 0 0 |
| 33.11 | 100 | 2 2 0 |
| 39.04 | 5 | 3 1 1 |
| 47.53 | 18 | 4 0 0 |
| 52.10 | 2 | 3 3 1 |
| 59.15 | 38 | 4 2 2 |
| 63.14 | 2 | 5 1 1 |
| 69.49 | 12 | 4 4 0 |
| 73.17 | 2 | 5 3 1 |
| 79.17 | 16 | 6 2 0 |
| 88.54 | 4 | 4 4 4 |

(6)
This entry pairs a crystal structure of GdInAgPd with its simulated powder X-ray diffraction pattern. Radiation: Cu Ka. Structure: a structure optimized by DFT (PBE).
Neutral-atom scattering factors, no anomalous dispersion.

Cell and atoms:
Cell: 6.9527 6.9527 6.9527 Å, 90.00 90.00 90.00°
Space group F-43m (No. 216)
Inequivalent atoms, fractional coordinates:
Gd 0.0000 0.0000 0.0000 x4
In 0.0000 0.0000 0.5000 x4
Ag 0.2500 0.2500 0.2500 x4
Pd 0.2500 0.2500 0.7500 x4

Largest 9 diffraction maxima, by angle, 15° ≤ 2θ ≤ 90°:
| Position (°2θ) | I/Imax | h k l |
| --- | --- | --- |
| 22.14 | 1 | 1 1 1 |
| 25.62 | 1 | 2 0 0 |
| 36.55 | 100 | 2 2 0 |
| 43.15 | 1 | 3 1 1 |
| 52.66 | 17 | 4 0 0 |
| 59.45 | 1 | 4 2 0 |
| 65.80 | 34 | 4 2 2 |
| 77.69 | 11 | 4 4 0 |
| 89.06 | 16 | 6 2 0 |

(7)
This entry pairs a crystal structure of Li2GdAg with its simulated powder X-ray diffraction pattern. Radiation: Cu Ka. Structure: a structure optimized by DFT (PBE).
Neutral-atom scattering factors, no anomalous dispersion.

Cell and atoms:
Cell: 6.8510 6.8510 6.8510 Å, 90.00 90.00 90.00°
Space group Fm-3m (No. 225)
Inequivalent atoms, fractional coordinates:
Li 0.2500 0.2500 0.2500 x8
Gd 0.0000 0.0000 0.0000 x4
Ag 0.0000 0.0000 0.5000 x4

Largest 12 diffraction maxima, by angle, 15° ≤ 2θ ≤ 90°:
| Position (°2θ) | I/Imax | h k l |
| --- | --- | --- |
| 22.48 | 5 | 1 1 1 |
| 26.01 | 100 | 2 0 0 |
| 37.12 | 91 | 2 2 0 |
| 43.83 | 3 | 3 1 1 |
| 45.88 | 28 | 2 2 2 |
| 53.50 | 16 | 4 0 0 |
| 58.75 | 1 | 3 3 1 |
| 60.43 | 37 | 4 2 0 |
| 66.91 | 31 | 4 2 2 |
| 79.07 | 10 | 4 4 0 |
| 83.48 | 1 | 5 3 1 |
| 84.93 | 18 | 6 0 0 |

(8)
This entry pairs a crystal structure of GdLuSiAg with its simulated powder X-ray diffraction pattern. Radiation: Cu Ka. Structure: a structure optimized by DFT (PBE).
Neutral-atom scattering factors, no anomalous dispersion.

Cell and atoms:
Cell: 7.0978 7.0978 7.0978 Å, 90.00 90.00 90.00°
Space group F-43m (No. 216)
Inequivalent atoms, fractional coordinates:
Gd 0.0000 0.0000 0.0000 x4
Lu 0.0000 0.0000 0.5000 x4
Si 0.2500 0.2500 0.2500 x4
Ag 0.2500 0.2500 0.7500 x4

Largest 12 diffraction maxima, by angle, 15° ≤ 2θ ≤ 90°:
| Position (°2θ) | I/Imax | h k l |
| --- | --- | --- |
| 21.69 | 8 | 1 1 1 |
| 25.09 | 19 | 2 0 0 |
| 35.78 | 100 | 2 2 0 |
| 42.23 | 4 | 3 1 1 |
| 44.20 | 6 | 2 2 2 |
| 51.50 | 18 | 4 0 0 |
| 56.52 | 2 | 3 3 1 |
| 58.12 | 8 | 4 2 0 |
| 64.29 | 36 | 4 2 2 |
| 75.82 | 11 | 4 4 0 |
| 81.34 | 4 | 6 0 0 |
| 86.78 | 16 | 6 2 0 |

Repeat the first record exactly.
This entry pairs a crystal structure of Zn2Ga2Ag5 with its simulated powder X-ray diffraction pattern. Radiation: Cu Ka. Structure: a structure optimized by DFT (PBE).
Neutral-atom scattering factors, no anomalous dispersion.

Cell and atoms:
Cell: 4.8563 5.0289 6.7590 Å, 82.25 74.33 75.60°
Space group P-1 (No. 2)
Inequivalent atoms, fractional coordinates:
Zn 0.1151 0.2340 0.0639 x2
Ga 0.2312 0.4430 0.6049 x2
Ag 0.0000 0.0000 0.5000 x1
Ag 0.3155 0.6744 0.1604 x2
Ag 0.4276 0.8998 0.7337 x2

Largest 12 diffraction maxima, by angle, 15° ≤ 2θ ≤ 90°:
| Position (°2θ) | I/Imax | h k l |
| --- | --- | --- |
| 37.78 | 100 | 1 0 -2 |
| 38.23 | 97 | 2 1 1 |
| 38.34 | 96 | 1 -1 2 |
| 38.62 | 94 | 0 2 1 |
| 42.42 | 74 | 1 1 3 |
| 43.10 | 69 | 1 2 -1 |
| 47.70 | 49 | 2 -1 0 |
| 61.56 | 22 | 0 1 -4 |
| 62.58 | 21 | 2 3 2 |
| 65.59 | 35 | 3 1 -1 |
| 65.83 | 17 | 3 0 3 |
| 82.83 | 18 | 0 4 2 |